1.
Starting from DFT lattice parameters and positions (GGA-PBE), the PXRD pattern of Fe4PdPt4 was calculated for Cu Kα, 1.54184 Å.

Most intense lines, 2θ = 10–80°, sorted by position:
| 2θ (°) | I/Imax |
| --- | --- |
| 15.38 | 11 |
| 21.82 | 10 |
| 25.54 | 11 |
| 40.63 | 100 |
| 47.09 | 16 |
| 47.35 | 32 |
| 69.00 | 20 |
| 69.20 | 10 |

Structure:
Unit cell a=6.0745 b=6.0745 c=6.0745 alpha=95.79 beta=95.79 gamma=142.96
Positions (direct):
Fe 0.0000 0.3394 0.3394
Fe 0.0000 0.6606 0.6606
Fe 0.3394 0.0000 0.3394
Fe 0.6606 0.0000 0.6606
Pd 0.0000 0.0000 0.0000
Pt 0.3304 0.3304 0.6609
Pt 0.3304 0.6696 0.0000
Pt 0.6696 0.3304 0.0000
Pt 0.6696 0.6696 0.3391

---

2.
Starting from DFT lattice parameters and positions (GGA-PBE), the PXRD pattern of FePd4Pt6 was calculated for Cu Kα, 1.54184 Å.

Most intense lines, 2θ = 10–80°, sorted by position:
| 2θ (°) | I/Imax |
| --- | --- |
| 26.14 | 30 |
| 35.88 | 48 |
| 38.68 | 82 |
| 39.26 | 41 |
| 41.79 | 100 |
| 42.32 | 67 |
| 43.02 | 46 |
| 53.78 | 31 |

Structure:
Unit cell a=4.3122 b=4.3122 c=20.7326 alpha=90.00 beta=90.00 gamma=114.66
Positions (direct):
Fe 0.2318 0.7682 0.7500
Fe 0.7682 0.2318 0.2500
Pd 0.0576 0.9424 0.1274
Pd 0.0576 0.9424 0.3726
Pd 0.3605 0.6395 0.0473
Pd 0.3605 0.6395 0.4527
Pd 0.6395 0.3605 0.5473
Pd 0.6395 0.3605 0.9527
Pd 0.9424 0.0576 0.6274
Pd 0.9424 0.0576 0.8726
Pt 0.0000 0.0000 0.0000
Pt 0.0000 0.0000 0.5000
Pt 0.1181 0.8819 0.2500
Pt 0.2894 0.7106 0.5905
Pt 0.2894 0.7106 0.9095
Pt 0.4422 0.5578 0.1844
Pt 0.4422 0.5578 0.3156
Pt 0.5578 0.4422 0.6844
Pt 0.5578 0.4422 0.8156
Pt 0.7106 0.2894 0.0905
Pt 0.7106 0.2894 0.4095
Pt 0.8819 0.1181 0.7500

---

3.
Starting from DFT lattice parameters and positions (GGA-PBE), the PXRD pattern of Fe2Pd12Pt5 was calculated for Cu Kα, 1.54184 Å.

Most intense lines, 2θ = 10–80°, sorted by position:
| 2θ (°) | I/Imax |
| --- | --- |
| 33.56 | 31 |
| 37.40 | 100 |
| 37.86 | 26 |
| 40.16 | 32 |
| 43.24 | 52 |
| 43.29 | 68 |
| 43.50 | 40 |
| 79.84 | 27 |

Structure:
Unit cell a=7.6494 b=7.6494 c=6.6115 alpha=104.70 beta=104.70 gamma=56.07
Positions (direct):
Fe 0.1902 0.8098 0.0000
Fe 0.8098 0.1902 0.0000
Pd 0.0327 0.0327 0.7043
Pd 0.0800 0.6353 0.5559
Pd 0.1680 0.5386 0.1415
Pd 0.3647 0.9200 0.4441
Pd 0.4329 0.4329 0.8230
Pd 0.4614 0.8320 0.8585
Pd 0.5386 0.1680 0.1415
Pd 0.5671 0.5671 0.1770
Pd 0.6353 0.0800 0.5559
Pd 0.8320 0.4614 0.8585
Pd 0.9200 0.3647 0.4441
Pd 0.9673 0.9673 0.2957
Pt 0.1679 0.1679 0.1317
Pt 0.2388 0.2388 0.7651
Pt 0.5000 0.5000 0.5000
Pt 0.7612 0.7612 0.2349
Pt 0.8321 0.8321 0.8683